Starting from a crystal structure in Alexandria, relaxed with GGA-PBE, the powder diffraction line list of BaGaCu3Se4 was computed for CuKα.

Structure:
a b c (Å): 6.233 6.233 6.233
angles (deg): 90.00 90.00 90.00
Space group P-43m (No. 215)
Inequivalent atoms, fractional coordinates:
Ba: 0.000 0.000 0.000 (multiplicity 1)
Ga: 0.500 0.500 0.500 (multiplicity 1)
Cu: 0.000 0.500 0.500 (multiplicity 3)
Se: 0.280 0.280 0.720 (multiplicity 4)

Main lines, sorted by position (5° ≤ 2θ ≤ 70°):
| Position (°2θ) | d [Å] | I/Imax | hkl |
| --- | --- | --- | --- |
| 14.21 | 6.233 | 7.9 | 1 0 0 |
| 20.15 | 4.408 | 28.9 | 1 1 0 |
| 24.74 | 3.599 | 88.1 | 1 1 1 |
| 35.27 | 2.545 | 18.5 | 2 1 1 |
| 40.95 | 2.204 | 100.0 | 2 2 0 |
| 43.56 | 2.078 | 4.4 | 3 0 0 |
| 48.43 | 1.879 | 36.1 | 3 1 1 |
| 52.96 | 1.729 | 5.7 | 3 2 0 |
| 55.13 | 1.666 | 13.2 | 3 2 1 |
| 59.30 | 1.558 | 14.2 | 4 0 0 |
| 63.30 | 1.469 | 10.7 | 4 1 1 |
| 65.24 | 1.430 | 11.2 | 3 3 1 |